Starting from a DFT-relaxed cell (PBE+U, OQMD), the X-ray diffraction stick pattern of LiPrCoO3 was simulated for Cu Kα (weighted mean of Kα1 and Kα2).
Kinematic intensities with the Lorentz-polarization factor, no thermal factor.

Largest 10 diffraction maxima, in order of rising 2θ, 5° ≤ 2θ ≤ 70°:
| h k l | 2theta | I_rel |
| --- | --- | --- |
| 0 2 0 | 13.60 | 592 |
| 1 1 0 | 26.26 | 543 |
| 0 4 0 | 27.39 | 459 |
| 1 1 1 | 29.79 | 244 |
| 0 2 2 | 31.12 | 652 |
| 1 3 0 | 32.78 | 463 |
| 1 1 2 | 38.66 | 1000 |
| 0 6 0 | 41.61 | 219 |
| 1 5 2 | 52.22 | 607 |
| 2 2 2 | 61.88 | 193 |

Crystal structure
```
data_LiPrCoO3
_cell_length_a 3.515
_cell_length_b 13.023
_cell_length_c 6.406
_cell_angle_alpha 90.00
_cell_angle_beta 90.00
_cell_angle_gamma 90.00
_space_group_name_H-M_alt 'C m c m'
_space_group_IT_number 63
_space_group_name_Hall '-C 2c 2'
loop_
_atom_site_label
_atom_site_type_symbol
_atom_site_fract_x
_atom_site_fract_y
_atom_site_fract_z
_atom_site_occupancy
Li1 Li 0.000 0.168 0.250 1
Pr1 Pr 0.000 0.500 0.000 1
Co1 Co 0.000 0.202 0.750 1
O1 O 0.000 0.028 0.750 1
O2 O 0.000 0.326 0.542 1
```